The following is a computed powder XRD pattern of BaLaEuSbO6. It was derived from DFT lattice parameters and positions (PBE), using CuKα.
Kinematic intensities with the Lorentz-polarization factor, no thermal factor.

Unit cell a=6.0661 b=6.1166 c=8.6226 alpha=90.30 beta=90.63 gamma=90.00
Element x y z (fractional)
Ba (0.0061, 0.0262, 0.2500)
Ba (0.9939, 0.9738, 0.7500)
La (0.0000, 0.5000, 0.5000)
La (0.5000, 0.0000, 0.0000)
Eu (0.4889, 0.5356, 0.2524)
Eu (0.5111, 0.4644, 0.7476)
Sb (0.0000, 0.5000, 0.0000)
Sb (0.5000, 0.0000, 0.5000)
O (0.0968, 0.5012, 0.7729)
O (0.2009, 0.7583, 0.0412)
O (0.2333, 0.8050, 0.4721)
O (0.2597, 0.3026, 0.0546)
O (0.3166, 0.2724, 0.4498)
O (0.4370, 0.0470, 0.7283)
O (0.5630, 0.9530, 0.2717)
O (0.6834, 0.7276, 0.5502)
O (0.7403, 0.6974, 0.9454)
O (0.7667, 0.1950, 0.5279)
O (0.7991, 0.2417, 0.9588)
O (0.9032, 0.4988, 0.2271)

Top 10 peaks for 5 to 70 degrees two-theta, low angle first:
d_spacing	two_theta	I (rel.)
3.061	29.2	98.3
3.053	29.3	51.3
3.037	29.4	100.0
3.030	29.5	48.9
2.154	41.9	76.6
1.767	51.7	32.3
1.763	51.9	29.3
1.758	52.0	30.4
1.747	52.4	33.1
1.358	69.2	16.0